This entry pairs a crystal structure of RbNaTbO3 with its calculated powder X-ray diffraction pattern. Radiation: Cu Kα X-rays. Structure: a DFT-relaxed cell (PBE, OQMD).
Lines closer than 0.1° are merged.

Largest 12 diffraction maxima, sorted by position, 2θ from 10° to 90°:
- 2θ 16.7, 5.302 Å, I = 100.0
- 2θ 21.2, 4.184 Å, I = 44.2
- 2θ 29.9, 2.987 Å, I = 79.2
- 2θ 30.2, 2.964 Å, I = 63.9
- 2θ 30.3, 2.954 Å, I = 51.6
- 2θ 32.3, 2.770 Å, I = 91.7
- 2θ 32.5, 2.753 Å, I = 17.5
- 2θ 39.5, 2.283 Å, I = 39.5
- 2θ 46.8, 1.943 Å, I = 23.7
- 2θ 51.8, 1.764 Å, I = 23.5
- 2θ 52.0, 1.759 Å, I = 29.4
- 2θ 56.0, 1.643 Å, I = 31.6

Cell and atoms:
Cell lengths 6.6427, 6.6427, 5.9845 Å; angles 94.14, 94.14, 126.25 degrees
Positions (direct):
Rb (0.2403, 0.7597, 0.7500)
Rb (0.7597, 0.2403, 0.2500)
Na (0.0646, 0.9354, 0.2500)
Na (0.9354, 0.0646, 0.7500)
Tb (0.4363, 0.5637, 0.2500)
Tb (0.5637, 0.4363, 0.7500)
O (0.2344, 0.3032, 0.5016)
O (0.2541, 0.7459, 0.2500)
O (0.3032, 0.2344, 0.0016)
O (0.6968, 0.7656, 0.9984)
O (0.7459, 0.2541, 0.7500)
O (0.7656, 0.6968, 0.4984)


This entry pairs a crystal structure of NdGaAg2O4 with its calculated powder X-ray diffraction pattern. Radiation: Cu Kα X-rays. Structure: a DFT-relaxed cell (PBE, OQMD).
Lines closer than 0.1° are merged.

Largest 12 diffraction maxima, sorted by position, 2θ from 10° to 90°:
- 2θ 28.2, 3.167 Å, I = 43.6
- 2θ 31.9, 2.807 Å, I = 70.2
- 2θ 34.2, 2.621 Å, I = 100.0
- 2θ 37.8, 2.379 Å, I = 15.7
- 2θ 42.4, 2.130 Å, I = 10.9
- 2θ 47.8, 1.902 Å, I = 20.8
- 2θ 53.9, 1.702 Å, I = 35.1
- 2θ 55.3, 1.662 Å, I = 30.8
- 2θ 63.2, 1.472 Å, I = 26.4
- 2θ 66.6, 1.404 Å, I = 14.1
- 2θ 80.8, 1.189 Å, I = 10.2
- 2θ 84.5, 1.146 Å, I = 10.3

Cell and atoms:
Cell lengths 3.3244, 3.3244, 12.6661 Å; angles 90.00, 90.00, 120.00 degrees
Positions (direct):
Nd (0.0000, 0.0000, 0.0000)
Ga (0.0000, 0.0000, 0.5000)
Ag (0.3333, 0.6667, 0.7361)
Ag (0.6667, 0.3333, 0.2639)
O (0.3333, 0.6667, 0.5709)
O (0.3333, 0.6667, 0.8995)
O (0.6667, 0.3333, 0.1005)
O (0.6667, 0.3333, 0.4291)


This entry pairs a crystal structure of SrAgSeO with its calculated powder X-ray diffraction pattern. Radiation: Cu Kα X-rays. Structure: a DFT-relaxed cell (PBE, OQMD).
Lines closer than 0.1° are merged.

Largest 12 diffraction maxima, sorted by position, 2θ from 10° to 90°:
- 2θ 11.5, 7.685 Å, I = 30.5
- 2θ 22.1, 4.029 Å, I = 19.9
- 2θ 26.3, 3.383 Å, I = 18.6
- 2θ 28.2, 3.159 Å, I = 23.1
- 2θ 30.0, 2.983 Å, I = 100.0
- 2θ 30.6, 2.922 Å, I = 16.0
- 2θ 34.3, 2.615 Å, I = 41.9
- 2θ 36.8, 2.440 Å, I = 35.2
- 2θ 38.0, 2.366 Å, I = 64.9
- 2θ 39.9, 2.261 Å, I = 16.5
- 2θ 51.1, 1.788 Å, I = 25.7
- 2θ 51.3, 1.780 Å, I = 24.4

Cell and atoms:
Cell lengths 7.1372, 7.6851, 6.3188 Å; angles 90.00, 90.00, 90.00 degrees
Positions (direct):
Sr (0.0698, 0.1472, 0.0000)
Sr (0.4302, 0.1472, 0.5000)
Sr (0.5698, 0.8528, 0.0000)
Sr (0.9302, 0.8528, 0.5000)
Ag (0.0107, 0.6846, 0.0180)
Ag (0.4893, 0.6846, 0.5180)
Ag (0.5107, 0.3154, 0.0180)
Ag (0.9893, 0.3154, 0.5180)
Se (0.2382, 0.5265, 0.3042)
Se (0.2618, 0.5265, 0.8042)
Se (0.7382, 0.4735, 0.3042)
Se (0.7618, 0.4735, 0.8042)
O (0.1235, 0.0799, 0.6327)
O (0.3765, 0.0799, 0.1327)
O (0.6235, 0.9201, 0.6327)
O (0.8765, 0.9201, 0.1327)


This entry pairs a crystal structure of ZrTeSe with its calculated powder X-ray diffraction pattern. Radiation: Cu Kα X-rays. Structure: a DFT-relaxed cell (PBE, OQMD).
Lines closer than 0.1° are merged.

Largest 12 diffraction maxima, sorted by position, 2θ from 10° to 90°:
- 2θ 12.9, 6.881 Å, I = 56.8
- 2θ 25.9, 3.441 Å, I = 15.9
- 2θ 27.3, 3.263 Å, I = 39.2
- 2θ 29.6, 3.019 Å, I = 100.0
- 2θ 33.1, 2.710 Å, I = 99.4
- 2θ 37.4, 2.403 Å, I = 22.7
- 2θ 42.5, 2.129 Å, I = 40.2
- 2θ 46.8, 1.939 Å, I = 29.3
- 2θ 47.3, 1.920 Å, I = 35.0
- 2θ 48.0, 1.894 Å, I = 31.1
- 2θ 61.4, 1.509 Å, I = 15.7
- 2θ 76.3, 1.248 Å, I = 15.7

Cell and atoms:
Cell lengths 3.8790, 6.7167, 13.7626 Å; angles 90.00, 90.00, 90.00 degrees
Positions (direct):
Zr (0.0000, 0.0289, 0.0000)
Zr (0.0000, 0.4712, 0.4993)
Zr (0.5000, 0.5288, 0.9993)
Zr (0.5000, 0.9711, 0.5000)
Te (0.0000, 0.1381, 0.6376)
Te (0.0000, 0.3629, 0.1373)
Te (0.5000, 0.6371, 0.6373)
Te (0.5000, 0.8619, 0.1376)
Se (0.0000, 0.6961, 0.8900)
Se (0.0000, 0.8048, 0.3903)
Se (0.5000, 0.1952, 0.8903)
Se (0.5000, 0.3039, 0.3900)


This entry pairs a crystal structure of AlAuF6 with its calculated powder X-ray diffraction pattern. Radiation: Cu Kα X-rays. Structure: a DFT-relaxed cell (PBE, OQMD).
Lines closer than 0.1° are merged.

Largest 12 diffraction maxima, sorted by position, 2θ from 10° to 90°:
- 2θ 21.8, 4.085 Å, I = 100.0
- 2θ 25.2, 3.538 Å, I = 21.6
- 2θ 35.9, 2.501 Å, I = 37.3
- 2θ 42.4, 2.133 Å, I = 54.9
- 2θ 44.4, 2.042 Å, I = 32.1
- 2θ 51.7, 1.769 Å, I = 20.9
- 2θ 56.7, 1.623 Å, I = 23.5
- 2θ 58.3, 1.582 Å, I = 10.5
- 2θ 64.5, 1.444 Å, I = 15.0
- 2θ 69.0, 1.362 Å, I = 17.6
- 2θ 76.1, 1.251 Å, I = 12.1
- 2θ 80.3, 1.196 Å, I = 17.8

Cell and atoms:
Cell lengths 5.0029, 5.0029, 5.0029 Å; angles 60.00, 60.00, 60.00 degrees
Positions (direct):
Al (0.0000, 0.0000, 0.0000)
Au (0.7500, 0.7500, 0.7500)
F (0.2502, 0.2502, 0.7498)
F (0.2502, 0.7498, 0.2502)
F (0.2502, 0.7498, 0.7498)
F (0.7498, 0.2502, 0.2502)
F (0.7498, 0.2502, 0.7498)
F (0.7498, 0.7498, 0.2502)


This entry pairs a crystal structure of AsAuI6 with its calculated powder X-ray diffraction pattern. Radiation: Cu Kα X-rays. Structure: a DFT-relaxed cell (PBE, OQMD).
Lines closer than 0.1° are merged.

Largest 12 diffraction maxima, sorted by position, 2θ from 10° to 90°:
- 2θ 14.1, 6.261 Å, I = 27.2
- 2θ 27.3, 3.270 Å, I = 20.6
- 2θ 28.5, 3.131 Å, I = 100.0
- 2θ 33.0, 2.711 Å, I = 70.5
- 2θ 36.1, 2.488 Å, I = 11.9
- 2θ 43.4, 2.087 Å, I = 8.0
- 2θ 47.4, 1.917 Å, I = 50.5
- 2θ 56.3, 1.635 Å, I = 43.2
- 2θ 59.0, 1.565 Å, I = 17.3
- 2θ 76.6, 1.244 Å, I = 17.4
- 2θ 79.0, 1.212 Å, I = 22.3
- 2θ 88.3, 1.107 Å, I = 17.4

Cell and atoms:
Cell lengths 7.6684, 7.6684, 7.6684 Å; angles 60.00, 60.00, 60.00 degrees
Positions (direct):
As (0.0000, 0.0000, 0.0000)
Au (0.7500, 0.7500, 0.7500)
I (0.2566, 0.2566, 0.7434)
I (0.2566, 0.7434, 0.2566)
I (0.2566, 0.7434, 0.7434)
I (0.7434, 0.2566, 0.2566)
I (0.7434, 0.2566, 0.7434)
I (0.7434, 0.7434, 0.2566)


This entry pairs a crystal structure of HfTlAu3S4 with its calculated powder X-ray diffraction pattern. Radiation: Cu Kα X-rays. Structure: a DFT-relaxed cell (PBE, OQMD).
Lines closer than 0.1° are merged.

Largest 12 diffraction maxima, sorted by position, 2θ from 10° to 90°:
- 2θ 14.4, 6.170 Å, I = 100.0
- 2θ 19.8, 4.476 Å, I = 56.8
- 2θ 24.6, 3.620 Å, I = 77.5
- 2θ 28.3, 3.149 Å, I = 45.5
- 2θ 31.2, 2.871 Å, I = 32.0
- 2θ 32.6, 2.743 Å, I = 47.9
- 2θ 33.5, 2.677 Å, I = 54.7
- 2θ 33.6, 2.665 Å, I = 31.8
- 2θ 34.8, 2.574 Å, I = 36.4
- 2θ 38.3, 2.350 Å, I = 35.2
- 2θ 43.7, 2.072 Å, I = 38.6
- 2θ 49.8, 1.830 Å, I = 30.8

Cell and atoms:
Cell lengths 5.8118, 7.7439, 10.4521 Å; angles 90.00, 102.37, 90.00 degrees
Positions (direct):
Hf (0.0885, 0.2500, 0.2842)
Hf (0.9115, 0.7500, 0.7158)
Tl (0.1704, 0.2500, 0.8735)
Tl (0.8296, 0.7500, 0.1265)
Au (0.3452, 0.5606, 0.5832)
Au (0.3452, 0.9394, 0.5832)
Au (0.4979, 0.7500, 0.8407)
Au (0.5021, 0.2500, 0.1593)
Au (0.6548, 0.0606, 0.4168)
Au (0.6548, 0.4394, 0.4168)
S (0.0162, 0.7500, 0.4937)
S (0.1589, 0.7500, 0.9309)
S (0.3119, 0.5082, 0.2544)
S (0.3119, 0.9918, 0.2544)
S (0.6881, 0.0082, 0.7456)
S (0.6881, 0.4918, 0.7456)
S (0.8411, 0.2500, 0.0691)
S (0.9838, 0.2500, 0.5063)


This entry pairs a crystal structure of HfTcTe2 with its calculated powder X-ray diffraction pattern. Radiation: Cu Kα X-rays. Structure: a DFT-relaxed cell (PBE, OQMD).
Lines closer than 0.1° are merged.

Largest 12 diffraction maxima, sorted by position, 2θ from 10° to 90°:
- 2θ 22.0, 4.041 Å, I = 2.6
- 2θ 25.4, 3.500 Å, I = 2.5
- 2θ 36.3, 2.475 Å, I = 100.0
- 2θ 42.8, 2.111 Å, I = 1.5
- 2θ 44.9, 2.021 Å, I = 0.8
- 2θ 52.3, 1.750 Å, I = 17.5
- 2θ 57.4, 1.606 Å, I = 0.7
- 2θ 59.0, 1.565 Å, I = 1.1
- 2θ 65.3, 1.429 Å, I = 35.6
- 2θ 77.1, 1.237 Å, I = 11.0
- 2θ 82.7, 1.167 Å, I = 0.6
- 2θ 88.3, 1.107 Å, I = 16.1

Cell and atoms:
Cell lengths 4.9497, 4.9497, 4.9497 Å; angles 60.00, 60.00, 60.00 degrees
Positions (direct):
Hf (0.0000, 0.0000, 0.0000)
Tc (0.7500, 0.7500, 0.7500)
Te (0.2500, 0.2500, 0.2500)
Te (0.5000, 0.5000, 0.5000)